This entry pairs a crystal structure of ZnReO4 with its computed X-ray powder pattern. Radiation: λ = 1.5418 Å (Cu Kα). Structure: a structure optimized by DFT (GGA-PBE).
Neutral-atom scattering factors, no anomalous dispersion.

Atomic structure:
abc: 6.5499 6.7276 3.1097
angles: 90.00 90.00 90.00
Space group Cmmm (No. 65)
Inequivalent atoms, fractional coordinates:
Zn1 0.0000 0.0000 0.0000
Re1 0.0000 0.5000 0.5000
O1 0.0000 0.3129 0.0000
O2 0.2175 0.0000 0.5000

Largest 6 diffraction maxima, low angle first, 10 to 90 degrees two-theta:
d_spacing  I_rel  (hkl)
4.693  56  1 1 0
3.364  64  0 2 0
3.275  56  2 0 0
2.592  100  1 1 1
1.753  43  1 3 1
1.727  36  3 1 1


This entry pairs a crystal structure of ZnRe2O8 with its computed X-ray powder pattern. Radiation: λ = 1.5418 Å (Cu Kα). Structure: a structure optimized by DFT (GGA-PBE).
Neutral-atom scattering factors, no anomalous dispersion.

Atomic structure:
abc: 5.8115 5.8115 6.7235
angles: 90.00 90.00 120.00
Space group P-3 (No. 147)
Inequivalent atoms, fractional coordinates:
Zn1 0.0000 0.0000 0.0000
Re1 0.3333 0.6667 0.2665
O1 0.1534 0.3376 0.1799
O2 0.3333 0.6667 0.5243

Largest 6 diffraction maxima, low angle first, 10 to 90 degrees two-theta:
d_spacing  I_rel  (hkl)
4.029  100  0 1 1
2.906  33  1 1 0
2.795  16  1 0 2
2.357  12  2 0 1
2.047  13  1 0 3
1.830  22  3 -2 1


This entry pairs a crystal structure of RhO3 with its computed X-ray powder pattern. Radiation: λ = 1.5418 Å (Cu Kα). Structure: a structure optimized by DFT (GGA-PBE).
Neutral-atom scattering factors, no anomalous dispersion.

Atomic structure:
abc: 11.0797 11.0797 2.9345
angles: 90.00 90.00 120.00
Space group R32 (No. 155, hexagonal axes)
Inequivalent atoms, fractional coordinates:
Rh1 0.0000 0.0000 0.0000
O1 0.0000 0.8423 0.0000

Largest 6 diffraction maxima, low angle first, 10 to 90 degrees two-theta:
d_spacing  I_rel  (hkl)
5.540  100  1 1 0
3.198  14  3 0 0
2.806  26  1 0 1
2.503  11  0 2 1
2.281  13  2 1 1
2.094  13  4 1 0


This entry pairs a crystal structure of Sr8RuRh3O16 with its computed X-ray powder pattern. Radiation: λ = 1.5418 Å (Cu Kα). Structure: a structure optimized by DFT (GGA-PBE).
Neutral-atom scattering factors, no anomalous dispersion.

Atomic structure:
abc: 5.5274 5.5274 26.0518
angles: 90.00 90.00 90.00
Space group I-4 (No. 82)
Inequivalent atoms, fractional coordinates:
Sr1 0.0000 0.0000 0.1750
Sr2 0.0000 0.0000 0.3250
Sr3 0.0000 0.5000 0.0736
Sr4 0.0000 0.5000 0.5740
Ru1 0.0000 0.5000 0.2500
Rh1 0.0000 0.0000 0.0000
Rh2 0.0000 0.0000 0.5000
Rh3 0.0000 0.5000 0.7500
O1 0.0000 0.0000 0.0806
O2 0.0000 0.0000 0.4194
O3 0.0000 0.5000 0.1708
O4 0.0000 0.5000 0.6691
O5 0.1981 0.2058 0.2500
O6 0.1986 0.3014 0.0000

Largest 6 diffraction maxima, low angle first, 10 to 90 degrees two-theta:
d_spacing  I_rel  (hkl)
2.905  100  1 1 6
2.764  66  2 0 0
2.170  30  0 0 12
1.954  31  2 2 0
1.621  39  3 1 6
1.452  24  2 2 12